1.
Starting from DFT lattice parameters and positions (PBE), the XRD peak list of Nd3Sn5Pd5 was calculated for CuKα.
Intensities are scaled so that the largest is 100.

The 12 most intense peaks (10° ≤ 2θ ≤ 90°), sorted by position:
| 2θ (°) | I_rel | (hkl) |
| --- | --- | --- |
| 32.2 | 29.0 | 5 1 -1 |
| 32.4 | 33.5 | 5 1 0 |
| 32.9 | 86.2 | 3 1 3 |
| 33.6 | 18.1 | 6 0 -3 |
| 33.9 | 25.8 | 5 1 1 |
| 35.4 | 100.0 | 5 1 -3 |
| 36.5 | 27.0 | 5 1 2 |
| 36.9 | 36.2 | 1 1 -5 |
| 37.7 | 34.4 | 2 0 -6 |
| 38.1 | 24.0 | 0 0 6 |
| 39.3 | 94.7 | 0 2 0 |
| 55.6 | 22.6 | 2 2 -6 |

Structure:
```
data_Nd3Sn5Pd5
_chemical_formula_sum 'Nd12 Sn20 Pd20'
_space_group_name_H-M_alt 'C 1 2/m 1'
_space_group_IT_number 12
_cell_length_a 17.522
_cell_length_b 4.589
_cell_length_c 14.389
_cell_angle_alpha 90.00
_cell_angle_beta 99.67
_cell_angle_gamma 90.00
loop_
_space_group_symop_operation_xyz
'x,y,z'
'-x,-y,-z'
'-x,y,-z'
'x,-y,z'
'x+1/2,y+1/2,z'
'-x+1/2,-y+1/2,-z'
'-x+1/2,y+1/2,-z'
'x+1/2,-y+1/2,z'
loop_
_atom_site_label
_atom_site_type_symbol
_atom_site_fract_x
_atom_site_fract_y
_atom_site_fract_z
Nd1 Nd 0.101 0.000 0.214
Nd2 Nd 0.136 0.000 0.586
Nd3 Nd 0.137 0.000 0.871
Sn1 Sn 0.000 0.000 0.000
Sn2 Sn 0.000 0.500 0.500
Sn3 Sn 0.031 0.500 0.720
Sn4 Sn 0.149 0.500 0.051
Sn5 Sn 0.152 0.500 0.405
Sn6 Sn 0.202 0.500 0.740
Pd1 Pd 0.009 0.500 0.902
Pd2 Pd 0.036 0.000 0.386
Pd3 Pd 0.216 0.500 0.240
Pd4 Pd 0.236 0.000 0.427
Pd5 Pd 0.239 0.000 0.068
```



2.
Starting from DFT lattice parameters and positions (PBE), the XRD peak list of NdYTlPd2 was calculated for CuKα.
Intensities are scaled so that the largest is 100.

The 12 most intense peaks (10° ≤ 2θ ≤ 90°), sorted by position:
| 2θ (°) | I_rel | (hkl) |
| --- | --- | --- |
| 27.6 | 16.3 | 0 1 3 |
| 32.6 | 100.0 | 1 1 1 |
| 33.7 | 49.1 | 1 0 4 |
| 35.5 | 17.2 | 0 0 6 |
| 36.6 | 53.5 | 0 1 5 |
| 36.8 | 13.1 | 1 1 3 |
| 43.1 | 25.9 | 0 2 0 |
| 44.1 | 20.1 | 1 1 5 |
| 48.8 | 18.1 | 2 0 0 |
| 55.8 | 23.3 | 1 2 4 |
| 62.5 | 22.4 | 2 1 5 |
| 67.1 | 13.8 | 2 2 0 |

Structure:
```
data_NdYTlPd2
_chemical_formula_sum 'Nd2 Y2 Tl2 Pd4'
_space_group_name_H-M_alt 'A m m 2'
_space_group_IT_number 38
_cell_length_a 3.736
_cell_length_b 4.197
_cell_length_c 15.153
_cell_angle_alpha 90.00
_cell_angle_beta 90.00
_cell_angle_gamma 90.00
loop_
_space_group_symop_operation_xyz
'x,y,z'
'-x,-y,z'
'-x,y,z'
'x,-y,z'
'x,y+1/2,z+1/2'
'-x,-y+1/2,z+1/2'
'-x,y+1/2,z+1/2'
'x,-y+1/2,z+1/2'
loop_
_atom_site_label
_atom_site_type_symbol
_atom_site_fract_x
_atom_site_fract_y
_atom_site_fract_z
Nd1 Nd 0.000 0.000 0.000
Y1 Y 0.000 0.000 0.268
Tl1 Tl 0.500 0.000 0.635
Pd1 Pd 0.500 0.000 0.440
Pd2 Pd 0.500 0.000 0.823
```



3.
Starting from DFT lattice parameters and positions (PBE), the XRD peak list of Nd6Zn4Pd13 was calculated for CuKα.
Intensities are scaled so that the largest is 100.

The 12 most intense peaks (10° ≤ 2θ ≤ 90°), sorted by position:
| 2θ (°) | I_rel | (hkl) |
| --- | --- | --- |
| 29.2 | 28.6 | 3 1 0 |
| 32.0 | 6.2 | 2 2 2 |
| 34.7 | 10.7 | 3 2 1 |
| 37.1 | 14.5 | 4 0 0 |
| 39.5 | 100.0 | 3 3 0 |
| 55.3 | 9.0 | 4 3 3 |
| 57.0 | 11.3 | 6 0 0 |
| 58.8 | 7.7 | 5 3 2 |
| 63.7 | 7.2 | 6 2 2 |
| 71.6 | 29.1 | 6 3 3 |
| 74.6 | 5.5 | 7 3 0 |
| 85.0 | 10.4 | 6 6 0 |

Structure:
```
data_Nd6Zn4Pd13
_chemical_formula_sum 'Nd12 Zn8 Pd26'
_space_group_name_H-M_alt 'I m -3 m'
_space_group_IT_number 229
_space_group_name_Hall '-I 4 2 3'
_cell_length_a 9.686
_cell_length_b 9.686
_cell_length_c 9.686
_cell_angle_alpha 90.00
_cell_angle_beta 90.00
_cell_angle_gamma 90.00
loop_
_atom_site_label
_atom_site_type_symbol
_atom_site_fract_x
_atom_site_fract_y
_atom_site_fract_z
Nd1 Nd 0.000 0.000 0.302
Zn1 Zn 0.250 0.250 0.250
Pd1 Pd 0.000 0.000 0.000
Pd2 Pd 0.000 0.331 0.331
```